Entry 1:
Si2Ni4Rh: calculated powder X-ray diffraction pattern (Cu Kα X-rays), based on a DFT-relaxed cell (GGA-PBE, Alexandria).

Unit cell a=6.7656 b=6.7656 c=3.6513 alpha=90.00 beta=90.00 gamma=90.00
Space group P4_2/mnm (No. 136)
Inequivalent atoms, fractional coordinates:
Si: 0.2138 0.2138 0.0000 x4
Ni: 0.0919 0.6570 0.0000 x8
Rh: 0.0000 0.0000 0.5000 x2

Peak list (8 most intense, 2θ from 10° to 80°, in order of rising 2θ)
| h k l | 2θ/deg | Rel. int. |
| --- | --- | --- |
| 2 1 1 | 38.6 | 100.0 |
| 3 1 0 | 42.2 | 50.7 |
| 2 2 1 | 45.3 | 46.2 |
| 3 1 1 | 49.4 | 35.5 |
| 0 0 2 | 50.0 | 28.9 |
| 4 1 0 | 56.0 | 13.7 |
| 3 1 2 | 67.4 | 23.5 |
| 5 0 1 | 74.8 | 22.6 |

=====

Entry 2:
Si8Ni3Rh2: calculated powder X-ray diffraction pattern (Cu Kα X-rays), based on a DFT-relaxed cell (GGA-PBE, Alexandria).

Unit cell a=7.2357 b=3.7804 c=7.2550 alpha=90.00 beta=116.08 gamma=90.00
Space group P2/m (No. 10)
Inequivalent atoms, fractional coordinates:
Si: 0.1077 0.0000 0.3953 x2
Si: 0.1320 0.5000 0.8842 x2
Si: 0.3661 0.0000 0.1342 x2
Si: 0.3808 0.5000 0.6344 x2
Ni: 0.2585 0.0000 0.7618 x2
Ni: 0.5000 0.5000 0.0000 x1
Rh: 0.2356 0.5000 0.2679 x2

Peak list (8 most intense, 2θ from 10° to 80°, in order of rising 2θ)
| h k l | 2θ/deg | Rel. int. |
| --- | --- | --- |
| 2 0 0 | 27.4 | 37.3 |
| 1 1 -1 | 27.7 | 40.2 |
| 2 1 -1 | 34.3 | 11.4 |
| 3 1 -1 | 44.7 | 100.0 |
| 2 0 2 | 47.4 | 22.4 |
| 0 2 0 | 48.1 | 21.8 |
| 3 1 1 | 55.8 | 10.5 |
| 2 2 2 | 69.9 | 13.8 |

=====

Entry 3:
TbSi2Ni2Rh: calculated powder X-ray diffraction pattern (Cu Kα X-rays), based on a DFT-relaxed cell (GGA-PBE, Alexandria).

Unit cell a=4.4740 b=4.4740 c=5.2808 alpha=90.00 beta=90.00 gamma=90.00
Space group P4/mmm (No. 123)
Inequivalent atoms, fractional coordinates:
Tb: 0.0000 0.0000 0.0000 x1
Si: 0.0000 0.5000 0.5000 x2
Ni: 0.5000 0.5000 0.2561 x2
Rh: 0.0000 0.0000 0.5000 x1

Peak list (8 most intense, 2θ from 10° to 80°, in order of rising 2θ)
| h k l | 2θ/deg | Rel. int. |
| --- | --- | --- |
| 1 0 0 | 19.8 | 33.0 |
| 1 1 0 | 28.2 | 91.3 |
| 1 0 2 | 39.6 | 100.0 |
| 2 0 0 | 40.3 | 62.4 |
| 2 1 2 | 57.8 | 64.4 |
| 2 2 0 | 58.3 | 20.5 |
| 3 1 0 | 66.0 | 15.6 |
| 3 0 2 | 72.8 | 15.8 |